[1]
The following is a simulated X-ray diffraction stick pattern of NaAs2Pt4. It was derived from a DFT-relaxed cell (PBE, Alexandria), using a wavelength of 1.5418 Å.
Kinematic intensities with the Lorentz-polarization factor, no thermal factor.

The 6 most intense peaks (5 to 70 degrees two-theta), by angle:
| 2theta | Rel. int. | hkl |
| --- | --- | --- |
| 15.74 | 100 | 1 1 0 |
| 33.97 | 79 | 2 1 1 |
| 35.67 | 35 | 3 1 0 |
| 39.38 | 74 | 2 2 1 |
| 42.65 | 82 | 3 1 1 |
| 47.07 | 46 | 4 1 0 |

Structural model:
```
NaAs2Pt4
1.0
7.960 0.000 0.000
0.000 7.960 0.000
0.000 0.000 3.931
Na As Pt
2 4 8
Direct
0.000 0.000 0.000
0.500 0.500 0.500
0.226 0.226 0.500
0.274 0.726 0.000
0.726 0.274 0.000
0.774 0.774 0.500
0.078 0.670 0.500
0.170 0.422 0.000
0.330 0.922 0.500
0.422 0.170 0.000
0.578 0.830 0.000
0.670 0.078 0.500
0.830 0.578 0.000
0.922 0.330 0.500
```


[2]
The following is a simulated X-ray diffraction stick pattern of Pr2Ho4Sc5. It was derived from a DFT-relaxed cell (PBE, Alexandria), using a wavelength of 1.5418 Å.
Kinematic intensities with the Lorentz-polarization factor, no thermal factor.

The 6 most intense peaks (5 to 70 degrees two-theta), by angle:
| 2theta | Rel. int. | hkl |
| --- | --- | --- |
| 22.30 | 45 | 1 0 2 |
| 29.68 | 47 | 1 0 -4 |
| 30.55 | 97 | 0 1 2 |
| 31.98 | 53 | 2 0 -4 |
| 32.12 | 52 | 3 0 -1 |
| 34.69 | 100 | 2 1 -2 |

Structural model:
```
Pr2Ho4Sc5
1.0
8.421 0.000 0.000
0.000 3.425 0.000
-4.157 0.000 11.284
Pr Ho Sc
2 4 5
Direct
0.221 0.000 0.101
0.779 0.000 0.899
0.025 0.500 0.756
0.373 0.500 0.648
0.627 0.500 0.352
0.975 0.500 0.244
0.000 0.000 0.500
0.317 0.000 0.401
0.371 0.000 0.879
0.629 0.000 0.121
0.683 0.000 0.599
```


[3]
The following is a simulated X-ray diffraction stick pattern of LaScAl2Ag5. It was derived from a DFT-relaxed cell (PBE, Alexandria), using a wavelength of 1.5418 Å.
Kinematic intensities with the Lorentz-polarization factor, no thermal factor.

The 6 most intense peaks (5 to 70 degrees two-theta), by angle:
| 2theta | Rel. int. | hkl |
| --- | --- | --- |
| 10.56 | 24 | 0 0 1 |
| 34.08 | 100 | 1 1 2 |
| 37.63 | 46 | 2 0 0 |
| 54.27 | 15 | 2 2 0 |
| 58.60 | 18 | 2 0 4 |
| 65.65 | 27 | 3 1 2 |

Structural model:
```
LaScAl2Ag5
1.0
4.781 0.000 0.000
0.000 4.781 0.000
0.000 0.000 8.377
La Sc Al Ag
1 1 2 5
Direct
0.000 0.000 0.000
0.000 0.000 0.500
0.500 0.500 0.348
0.500 0.500 0.652
0.000 0.500 0.245
0.000 0.500 0.755
0.500 0.000 0.245
0.500 0.000 0.755
0.500 0.500 0.000
```